[1]
Eu3Sn13Ir4: calculated powder diffractogram (copper Kα), based on a DFT-relaxed cell (GGA-PBE, the Materials Project).
Peak positions follow from Bragg's law for the DFT cell and can differ from measured ones.

Structural model:
abc: 9.8942 9.8942 9.8942
angles: 90.00 90.00 90.00
Element x y z (fractional)
Eu 0.0000 0.2500 0.5000
Eu 0.0000 0.7500 0.5000
Eu 0.2500 0.5000 0.0000
Eu 0.5000 0.0000 0.2500
Eu 0.5000 0.0000 0.7500
Eu 0.7500 0.5000 0.0000
Sn 0.0000 0.0000 0.0000
Sn 0.0000 0.3028 0.1517
Sn 0.0000 0.3028 0.8483
Sn 0.0000 0.6972 0.1517
Sn 0.0000 0.6972 0.8483
Sn 0.1517 0.0000 0.3028
Sn 0.1517 0.0000 0.6972
Sn 0.1972 0.5000 0.3483
Sn 0.1972 0.5000 0.6517
Sn 0.3028 0.1517 0.0000
Sn 0.3028 0.8483 0.0000
Sn 0.3483 0.1972 0.5000
Sn 0.3483 0.8028 0.5000
Sn 0.5000 0.3483 0.1972
Sn 0.5000 0.3483 0.8028
Sn 0.5000 0.5000 0.5000
Sn 0.5000 0.6517 0.1972
Sn 0.5000 0.6517 0.8028
Sn 0.6517 0.1972 0.5000
Sn 0.6517 0.8028 0.5000
Sn 0.6972 0.1517 0.0000
Sn 0.6972 0.8483 0.0000
Sn 0.8028 0.5000 0.3483
Sn 0.8028 0.5000 0.6517
Sn 0.8483 0.0000 0.3028
Sn 0.8483 0.0000 0.6972
Ir 0.2500 0.2500 0.2500
Ir 0.2500 0.2500 0.7500
Ir 0.2500 0.7500 0.2500
Ir 0.2500 0.7500 0.7500
Ir 0.7500 0.2500 0.2500
Ir 0.7500 0.2500 0.7500
Ir 0.7500 0.7500 0.2500
Ir 0.7500 0.7500 0.7500

Principal peaks in the range 2θ from 10° to 90°, by angle:
- 4.947 Å, I 254
- 2.856 Å, I 154
- 2.744 Å, I 1000
- 2.644 Å, I 371
- 2.474 Å, I 373
- 2.400 Å, I 140
- 2.212 Å, I 254
- 2.020 Å, I 425
- 1.697 Å, I 147
- 1.605 Å, I 171
- 1.492 Å, I 238
- 1.166 Å, I 121

=====

[2]
HfMg14BO15: calculated powder diffractogram (copper Kα), based on a DFT-relaxed cell (GGA-PBE, the Materials Project).
Peak positions follow from Bragg's law for the DFT cell and can differ from measured ones.

Structural model:
abc: 4.2791 8.7128 8.6412
angles: 90.00 90.00 90.00
Element x y z (fractional)
Hf 0.0000 0.0000 0.0000
Mg 0.0000 0.0000 0.5055
Mg 0.0000 0.2540 0.2653
Mg 0.0000 0.2693 0.7377
Mg 0.0000 0.5000 0.0081
Mg 0.0000 0.7307 0.7377
Mg 0.0000 0.7460 0.2653
Mg 0.5000 0.0000 0.2652
Mg 0.5000 0.0000 0.7406
Mg 0.5000 0.2577 0.5022
Mg 0.5000 0.2628 0.0036
Mg 0.5000 0.5000 0.2617
Mg 0.5000 0.5000 0.7421
Mg 0.5000 0.7372 0.0036
Mg 0.5000 0.7423 0.5022
B 0.0000 0.5000 0.4575
O 0.0000 0.0000 0.2494
O 0.0000 0.0000 0.7550
O 0.0000 0.2293 0.5025
O 0.0000 0.2460 0.0055
O 0.0000 0.5000 0.7791
O 0.0000 0.7540 0.0055
O 0.0000 0.7707 0.5025
O 0.5000 0.0000 0.0010
O 0.5000 0.0000 0.5031
O 0.5000 0.2476 0.2527
O 0.5000 0.2518 0.7530
O 0.5000 0.5000 0.0107
O 0.5000 0.5000 0.4985
O 0.5000 0.7482 0.7530
O 0.5000 0.7524 0.2527

Principal peaks in the range 2θ from 10° to 90°, by angle:
- 8.682 Å, I 1000
- 6.135 Å, I 271
- 3.838 Å, I 386
- 2.879 Å, I 263
- 2.493 Å, I 332
- 2.178 Å, I 385
- 2.160 Å, I 370
- 2.140 Å, I 377
- 1.534 Å, I 213
- 1.526 Å, I 220
- 1.520 Å, I 214
- 1.247 Å, I 195